[1]
# Li4Mn3Cr2O10
Computed powder diffraction line list, Cu Kα. Input: DFT lattice parameters and positions (PBE+U).
Peak positions follow from Bragg's law for the DFT cell and can differ from measured ones.

Cell and atoms:
```
data_Li4Mn3Cr2O10
_cell_length_a 5.124
_cell_length_b 5.227
_cell_length_c 7.798
_cell_angle_alpha 108.78
_cell_angle_beta 101.69
_cell_angle_gamma 100.74
_symmetry_space_group_name_H-M 'P 1'
_symmetry_Int_Tables_number 1
loop_
_symmetry_equiv_pos_as_xyz
'x,y,z'
loop_
_atom_site_label
_atom_site_type_symbol
_atom_site_fract_x
_atom_site_fract_y
_atom_site_fract_z
Li1 Li 0.000 0.000 0.000
Li2 Li 0.106 0.234 0.719
Li3 Li 0.290 0.593 0.082
Li4 Li 0.717 0.464 0.932
Mn1 Mn 0.190 0.399 0.384
Mn2 Mn 0.497 0.009 0.486
Mn3 Mn 0.801 0.620 0.593
Cr1 Cr 0.393 0.814 0.795
Cr2 Cr 0.603 0.208 0.181
O1 O 0.034 0.625 0.822
O2 O 0.171 0.784 0.535
O3 O 0.275 0.048 0.262
O4 O 0.371 0.197 0.941
O5 O 0.421 0.418 0.627
O6 O 0.530 0.579 0.347
O7 O 0.616 0.829 0.031
O8 O 0.728 0.978 0.712
O9 O 0.841 0.249 0.444
O10 O 0.966 0.381 0.155
```

Peak list (6 most intense, 10° ≤ 2θ ≤ 90°, sorted by position)
2θ/deg, I_rel, h k l
12.50, 75, 0 0 1
18.15, 100, 0 1 -1
18.37, 34, 1 0 0
42.37, 60, -1 2 1
42.98, 58, 1 -1 3
43.61, 57, 2 1 -2

=====

[2]
# Li3Mn5Cr3O16
Computed powder diffraction line list, Cu Kα. Input: DFT lattice parameters and positions (PBE+U).
Peak positions follow from Bragg's law for the DFT cell and can differ from measured ones.

Cell and atoms:
```
data_Li3Mn5Cr3O16
_cell_length_a 10.279
_cell_length_b 5.841
_cell_length_c 10.196
_cell_angle_alpha 90.00
_cell_angle_beta 109.11
_cell_angle_gamma 90.00
_symmetry_space_group_name_H-M 'C 1 m 1'
_symmetry_Int_Tables_number 8
loop_
_symmetry_equiv_pos_as_xyz
'x,y,z'
'x,-y,z'
'x+1/2,y+1/2,z'
'x+1/2,-y+1/2,z'
loop_
_atom_site_label
_atom_site_type_symbol
_atom_site_fract_x
_atom_site_fract_y
_atom_site_fract_z
Li1 Li 0.000 0.000 0.000
Li2 Li 0.002 0.500 0.507
Li3 Li 0.369 0.000 0.131
Mn1 Mn 0.186 0.250 0.815
Mn2 Mn 0.187 0.000 0.570
Mn3 Mn 0.187 0.250 0.318
Cr1 Cr 0.186 0.500 0.067
Cr2 Cr 0.435 0.000 0.815
Cr3 Cr 0.436 0.500 0.320
O1 O 0.070 0.272 0.932
O2 O 0.073 0.000 0.214
O3 O 0.073 0.500 0.712
O4 O 0.074 0.227 0.439
O5 O 0.081 0.500 0.205
O6 O 0.085 0.000 0.699
O7 O 0.291 0.000 0.436
O8 O 0.291 0.500 0.930
O9 O 0.298 0.221 0.696
O10 O 0.298 0.500 0.420
O11 O 0.299 0.000 0.921
O12 O 0.302 0.268 0.202
```

Peak list (6 most intense, 10° ≤ 2θ ≤ 90°, sorted by position)
2θ/deg, I_rel, h k l
18.27, 55, 2 0 0
18.42, 49, 0 0 2
18.55, 85, 1 1 -1
35.72, 26, 3 1 -3
35.85, 20, 2 2 0
43.45, 100, 2 2 2

=====

[3]
# Li2MnCrO4
Computed powder diffraction line list, Cu Kα. Input: DFT lattice parameters and positions (PBE+U).
Peak positions follow from Bragg's law for the DFT cell and can differ from measured ones.

Cell and atoms:
```
data_Li2MnCrO4
_cell_length_a 5.250
_cell_length_b 2.925
_cell_length_c 5.267
_cell_angle_alpha 90.00
_cell_angle_beta 111.67
_cell_angle_gamma 90.00
_symmetry_space_group_name_H-M 'P 1 2/m 1'
_symmetry_Int_Tables_number 10
loop_
_symmetry_equiv_pos_as_xyz
'x,y,z'
'-x,-y,-z'
'-x,y,-z'
'x,-y,z'
loop_
_atom_site_label
_atom_site_type_symbol
_atom_site_fract_x
_atom_site_fract_y
_atom_site_fract_z
Li1 Li 0.000 0.000 0.000
Li2 Li 0.000 0.500 0.500
Mn1 Mn 0.500 0.000 0.500
Cr1 Cr 0.500 0.500 0.000
O1 O 0.258 0.000 0.769
O2 O 0.287 0.500 0.261
```

Peak list (6 most intense, 10° ≤ 2θ ≤ 90°, sorted by position)
2θ/deg, I_rel, h k l
18.18, 100, 1 0 0
34.40, 17, 1 0 -2
35.76, 25, 0 1 1
41.51, 30, 2 0 -2
43.55, 52, 1 1 1
61.65, 16, 1 1 -3

=====

[4]
# Li2Mn3CrO8
Computed powder diffraction line list, Cu Kα. Input: DFT lattice parameters and positions (PBE+U).
Peak positions follow from Bragg's law for the DFT cell and can differ from measured ones.

Cell and atoms:
```
data_Li2Mn3CrO8
_cell_length_a 5.8847
_cell_length_b 5.8847
_cell_length_c 9.4445
_cell_angle_alpha 90.00
_cell_angle_beta 90.00
_cell_angle_gamma 120.00
_symmetry_space_group_name_H-M 'P 63 m c'
_symmetry_Int_Tables_number 186
_symmetry_space_group_name_Hall 'P 6c -2c'
loop_
_atom_site_label
_atom_site_type_symbol
_atom_site_fract_x
_atom_site_fract_y
_atom_site_fract_z
Li1 Li 0.0000 0.0000 0.0000
Li2 Li 0.3333 0.6667 0.3944
Mn1 Mn 0.1707 0.3414 0.7171
Cr1 Cr 0.3333 0.6667 0.9907
O1 O 0.0000 0.0000 0.3110
O2 O 0.0399 0.5199 0.8401
O3 O 0.1618 0.3236 0.1046
O4 O 0.3333 0.6667 0.6033
```

Peak list (6 most intense, 10° ≤ 2θ ≤ 90°, sorted by position)
2θ/deg, I_rel, h k l
18.79, 66, 0 0 2
19.80, 100, 1 0 1
35.96, 53, 1 1 2
36.52, 51, 2 0 1
45.81, 63, 2 0 3
61.07, 44, 2 0 5

=====

[5]
# Li2MnCrO4
Computed powder diffraction line list, Cu Kα. Input: DFT lattice parameters and positions (PBE+U).
Peak positions follow from Bragg's law for the DFT cell and can differ from measured ones.

Cell and atoms:
```
data_Li2MnCrO4
_cell_length_a 4.100
_cell_length_b 4.100
_cell_length_c 8.812
_cell_angle_alpha 90.00
_cell_angle_beta 90.00
_cell_angle_gamma 90.00
_symmetry_space_group_name_H-M 'I -4 m 2'
_symmetry_Int_Tables_number 119
_symmetry_space_group_name_Hall 'I -4 -2'
loop_
_atom_site_label
_atom_site_type_symbol
_atom_site_fract_x
_atom_site_fract_y
_atom_site_fract_z
Li1 Li 0.000 0.000 0.000
Li2 Li 0.000 0.500 0.250
Mn1 Mn 0.000 0.000 0.500
Cr1 Cr 0.000 0.500 0.750
O1 O 0.000 0.000 0.270
O2 O 0.000 0.500 0.520
```

Peak list (6 most intense, 10° ≤ 2θ ≤ 90°, sorted by position)
2θ/deg, I_rel, h k l
23.94, 100, 1 0 1
37.12, 16, 1 1 2
40.97, 30, 0 0 4
44.18, 50, 2 0 0
50.86, 22, 2 1 1
61.82, 29, 2 0 4

=====

[6]
# Li4MnCrO6
Computed powder diffraction line list, Cu Kα. Input: DFT lattice parameters and positions (PBE+U).
Peak positions follow from Bragg's law for the DFT cell and can differ from measured ones.

Cell and atoms:
```
data_Li4MnCrO6
_cell_length_a 5.049
_cell_length_b 8.642
_cell_length_c 5.114
_cell_angle_alpha 90.00
_cell_angle_beta 109.93
_cell_angle_gamma 90.00
_symmetry_space_group_name_H-M 'C 1 2 1'
_symmetry_Int_Tables_number 5
loop_
_symmetry_equiv_pos_as_xyz
'x,y,z'
'-x,y,-z'
'x+1/2,y+1/2,z'
'-x+1/2,y+1/2,-z'
loop_
_atom_site_label
_atom_site_type_symbol
_atom_site_fract_x
_atom_site_fract_y
_atom_site_fract_z
Li1 Li 0.000 0.000 0.000
Li2 Li 0.000 0.155 0.500
Li3 Li 0.000 0.321 0.000
Li4 Li 0.000 0.657 0.000
Mn1 Mn 0.000 0.827 0.500
Cr1 Cr 0.000 0.488 0.500
O1 O 0.217 0.659 0.727
O2 O 0.245 0.840 0.278
O3 O 0.250 0.479 0.272
```

Peak list (6 most intense, 10° ≤ 2θ ≤ 90°, sorted by position)
2θ/deg, I_rel, h k l
18.45, 100, 0 0 1
20.55, 22, 0 2 0
21.36, 33, 1 1 0
23.74, 24, 1 1 -1
43.51, 39, 2 0 -2
44.19, 68, 1 3 1